Record 1
This entry pairs a crystal structure of ErGaPbS4 with its simulated X-ray powder pattern. Radiation: CuKα. Structure: a crystal structure in Alexandria, relaxed with PBE.
Intensities are scaled so that the largest is 100.

Structural model:
Unit cell a=6.5225 b=6.6989 c=7.9715 alpha=90.00 beta=106.68 gamma=90.00
Space group P2_1/m (No. 11)
Inequivalent atoms, fractional coordinates:
Er1 0.2213 0.2500 0.0560 [2 per cell]
Ga1 0.2387 0.7500 0.8191 [2 per cell]
Pb1 0.2522 0.2500 0.5677 [2 per cell]
S1 0.9997 0.0069 0.7753 [4 per cell]
S2 0.4483 0.7500 0.6384 [2 per cell]
S3 0.4582 0.7500 0.0974 [2 per cell]

Peak list (10 most intense, 10° ≤ 2θ ≤ 90°, in order of falling intensity)
2θ = 19.4°, d = 4.569 Å, rel. 100, hkl 1 1 0
2θ = 26.6°, d = 3.349 Å, rel. 63, hkl 0 2 0
2θ = 34.2°, d = 2.624 Å, rel. 58, hkl 2 1 -2
2θ = 33.6°, d = 2.667 Å, rel. 53, hkl 1 1 2
2θ = 39.4°, d = 2.285 Å, rel. 45, hkl 2 2 0
2θ = 26.9°, d = 3.317 Å, rel. 39, hkl 0 1 2
2θ = 45.6°, d = 1.991 Å, rel. 39, hkl 1 0 -4
2θ = 27.1°, d = 3.289 Å, rel. 30, hkl 1 1 -2
2θ = 35.8°, d = 2.506 Å, rel. 26, hkl 1 2 -2
2θ = 28.6°, d = 3.124 Å, rel. 25, hkl 2 0 0

Record 2
This entry pairs a crystal structure of Rb4Tl2O with its simulated X-ray powder pattern. Radiation: CuKα. Structure: a crystal structure in Alexandria, relaxed with PBE.
Intensities are scaled so that the largest is 100.

Structural model:
Unit cell a=7.6667 b=4.0274 c=9.5593 alpha=90.00 beta=102.71 gamma=90.00
Space group P2/m (No. 10)
Inequivalent atoms, fractional coordinates:
Rb1 0.0648 0.0000 0.2966 [2 per cell]
Rb2 0.2460 0.5000 0.0095 [2 per cell]
Tl1 0.3969 0.5000 0.6143 [2 per cell]
O1 0.0000 0.0000 0.0000 [1 per cell]

Peak list (10 most intense, 10° ≤ 2θ ≤ 90°, in order of falling intensity)
2θ = 25.1°, d = 3.546 Å, rel. 100, hkl 1 1 0
2θ = 27.1°, d = 3.292 Å, rel. 82, hkl 2 0 -2
2θ = 27.8°, d = 3.205 Å, rel. 75, hkl 1 1 1
2θ = 27.6°, d = 3.234 Å, rel. 69, hkl 2 0 1
2θ = 16.7°, d = 5.293 Å, rel. 46, hkl 1 0 1
2θ = 28.7°, d = 3.108 Å, rel. 44, hkl 0 0 3
2θ = 54.2°, d = 1.692 Å, rel. 41, hkl 0 1 5
2θ = 22.1°, d = 4.027 Å, rel. 41, hkl 0 1 0
2θ = 30.0°, d = 2.976 Å, rel. 37, hkl 1 1 -2
2θ = 29.3°, d = 3.048 Å, rel. 35, hkl 0 1 2

Number 1 is which compound?
ErGaPbS4